Starting from a PBE-relaxed structure, the PXRD pattern of Pr4SnSe2S was calculated for Cu Kα (weighted mean of Kα1 and Kα2).
Peak positions follow from Bragg's law for the DFT cell and can differ from measured ones.

Atomic structure:
```
16
Lattice="-4.302 4.330 6.110 4.302 -4.330 6.110 4.302 4.330 -6.110" Properties=species:S:1:pos:R:3 pbc="T T T"
Pr 2.093 2.165 0.055
Pr 2.209 -2.165 6.165
Pr 0.000 0.088 3.027
Pr 4.302 0.088 3.084
Pr 0.000 4.242 3.027
Pr 4.302 4.242 3.084
Pr 2.093 6.495 -0.055
Pr 2.209 2.165 6.055
Sn 4.302 0.000 0.000
Sn 0.000 0.000 6.110
Se 0.000 0.000 0.000
Se 2.151 2.165 -3.055
Se 2.151 -2.165 3.055
Se 0.000 4.330 0.000
S -2.151 2.165 3.055
S 2.151 2.165 3.055
```

Top 10 peaks for 15 to 90 degrees two-theta, low angle first:
- 2θ = 29.25°, I 100
- 2θ = 41.72°, I 12
- 2θ = 41.84°, I 50
- 2θ = 42.01°, I 12
- 2θ = 51.75°, I 13
- 2θ = 52.00°, I 13
- 2θ = 60.67°, I 12
- 2θ = 68.74°, I 22
- 2θ = 76.26°, I 12
- 2θ = 76.64°, I 8